The following is a computed PXRD pattern of AcZrFe2O6. It was derived from a PBE+U-relaxed structure, using CuKα.
Lines closer than 0.1° are merged.

Atomic structure:
```
AcZrFe2O6
1.0
5.449 0.000 0.000
-2.717 4.746 0.000
-2.647 -1.617 4.875
Ac Zr Fe O
1 1 2 6
Direct
0.000 0.000 0.000 Ac
0.944 0.471 0.419 Zr
0.517 0.257 0.780 Fe
0.548 0.775 0.324 Fe
0.016 0.145 0.560 O
0.062 0.470 0.108 O
0.414 0.878 0.570 O
0.512 0.044 0.112 O
0.636 0.586 0.102 O
0.685 0.545 0.564 O
```

The 10 most intense peaks (2θ = 15–90°), sorted by position:
19.7 deg, d 4.511, rel. 31; 22.3 deg, d 3.992, rel. 55; 22.6 deg, d 3.935, rel. 27; 30.7 deg, d 2.916, rel. 52; 31.0 deg, d 2.882, rel. 100; 32.7 deg, d 2.736, rel. 90; 32.9 deg, d 2.724, rel. 45; 45.4 deg, d 1.996, rel. 45; 46.1 deg, d 1.967, rel. 21; 57.0 deg, d 1.615, rel. 19